Record 1
This entry pairs a crystal structure of MgSi with its simulated X-ray powder pattern. Radiation: Cu Ka. Structure: a structure optimized by DFT (GGA-PBE).
No peak broadening, texture or thermal motion is included.

Cell and atoms:
```
MgSi
1.0
4.7504 0.0000 0.0000
-1.1413 4.9671 0.0000
-2.0692 -2.0659 9.9369
Mg Si
6 6
Direct
0.0000 0.0000 0.0000
0.0840 0.3712 0.2847
0.2443 0.5169 0.5783
0.4835 0.9261 0.2631
0.6000 0.3423 0.8909
0.6865 0.0931 0.6004
0.0963 0.9668 0.4385
0.2042 0.5511 0.0033
0.3951 0.7942 0.8362
0.5394 0.3923 0.1643
0.6931 0.5676 0.4273
0.8276 0.6738 0.7327
```

Most intense lines, 5 to 70 degrees two-theta, low angle first:
Position (°2θ)	I_rel
35.0	87
36.2	54
36.9	54
37.4	41
37.7	44
38.9	70
39.5	54
39.8	100
44.3	53
47.4	45



Record 2
This entry pairs a crystal structure of Na4ZnGaP3O12 with its simulated X-ray powder pattern. Radiation: Cu Ka. Structure: a structure optimized by DFT (GGA-PBE).
No peak broadening, texture or thermal motion is included.

Cell and atoms:
```
Na4ZnGaP3O12
1.0
4.4938 2.5945 7.1823
-4.4938 2.5945 7.1823
0.0000 -5.1889 7.1823
Na Zn Ga P O
8 2 2 6 24
Direct
0.0000 0.0000 0.0000
0.1211 0.3886 0.7415
0.2415 0.8886 0.6211
0.3886 0.7415 0.1211
0.5000 0.5000 0.5000
0.6211 0.2415 0.8886
0.7415 0.1211 0.3886
0.8886 0.6211 0.2415
0.3497 0.3497 0.3497
0.8497 0.8497 0.8497
0.1535 0.1535 0.1535
0.6535 0.6535 0.6535
0.0476 0.7618 0.4539
0.2618 0.5476 0.9539
0.4539 0.0476 0.7618
0.5476 0.9539 0.2618
0.7618 0.4539 0.0476
0.9539 0.2618 0.5476
0.0273 0.7966 0.6172
0.0613 0.9329 0.2752
0.0995 0.7252 0.9245
0.1172 0.2966 0.5273
0.2252 0.5995 0.4245
0.2288 0.3740 0.9853
0.2752 0.0613 0.9329
0.2966 0.5273 0.1172
0.3740 0.9853 0.2288
0.4245 0.2252 0.5995
0.4329 0.5613 0.7752
0.4853 0.8740 0.7288
0.5273 0.1172 0.2966
0.5613 0.7752 0.4329
0.5995 0.4245 0.2252
0.6172 0.0273 0.7966
0.7252 0.9245 0.0995
0.7288 0.4853 0.8740
0.7752 0.4329 0.5613
0.7966 0.6172 0.0273
0.8740 0.7288 0.4853
0.9245 0.0995 0.7252
0.9329 0.2752 0.0613
0.9853 0.2288 0.3740
```

Most intense lines, 5 to 70 degrees two-theta, low angle first:
Position (°2θ)	I_rel
19.8	27
20.0	42
23.4	27
28.3	20
30.7	19
31.9	100
34.6	57
47.7	37
54.0	16
60.3	26



Record 3
This entry pairs a crystal structure of Al2S3O12 with its simulated X-ray powder pattern. Radiation: Cu Ka. Structure: a structure optimized by DFT (GGA-PBE).
No peak broadening, texture or thermal motion is included.

Cell and atoms:
```
Al2S3O12
1.0
4.1356 2.3877 7.1581
-4.1356 2.3877 7.1581
0.0000 -4.7753 7.1581
Al S O
4 6 24
Direct
0.1457 0.1457 0.1457
0.3543 0.3543 0.3543
0.6457 0.6457 0.6457
0.8543 0.8543 0.8543
0.0392 0.7500 0.4608
0.2500 0.5392 0.9608
0.4608 0.0392 0.7500
0.5392 0.9608 0.2500
0.7500 0.4608 0.0392
0.9608 0.2500 0.5392
0.0120 0.7701 0.6349
0.0666 0.9249 0.2853
0.0751 0.7147 0.9334
0.1349 0.2701 0.5120
0.2147 0.5751 0.4334
0.2299 0.3651 0.9880
0.2701 0.5120 0.1349
0.2853 0.0666 0.9249
0.3651 0.9880 0.2299
0.4249 0.5666 0.7853
0.4334 0.2147 0.5751
0.4880 0.8651 0.7299
0.5120 0.1349 0.2701
0.5666 0.7853 0.4249
0.5751 0.4334 0.2147
0.6349 0.0120 0.7701
0.7147 0.9334 0.0751
0.7299 0.4880 0.8651
0.7701 0.6349 0.0120
0.7853 0.4249 0.5666
0.8651 0.7299 0.4880
0.9249 0.2853 0.0666
0.9334 0.0751 0.7147
0.9880 0.2299 0.3651
```

Most intense lines, 5 to 70 degrees two-theta, low angle first:
Position (°2θ)	I_rel
14.9	25
20.7	13
24.9	100
30.0	17
33.1	14
33.4	11
43.8	7
51.0	7
54.5	5
55.1	5